Structure and theoretical PXRD pattern of TaTi12Sb6 (a cell relaxed with PBE; Cu Ka).
Kinematic intensities with the Lorentz-polarization factor, no thermal factor.

Structural model:
```
data_TaTi12Sb6
_chemical_formula_sum 'Ta3 Ti36 Sb18'
_symmetry_space_group_name_H-M 'R -3'
_symmetry_Int_Tables_number 148
_symmetry_space_group_name_Hall '-R 3'
_cell_length_a 12.9186
_cell_length_b 12.9186
_cell_length_c 7.4451
_cell_angle_alpha 90.00
_cell_angle_beta 90.00
_cell_angle_gamma 120.00
loop_
_atom_site_label
_atom_site_type_symbol
_atom_site_fract_x
_atom_site_fract_y
_atom_site_fract_z
Ta1 Ta 0.0000 0.0000 0.0000
Ti1 Ti 0.0070 0.8748 0.6774
Ti2 Ti 0.0719 0.4992 0.6714
Sb1 Sb 0.0177 0.7569 0.3479
```

The 10 most intense peaks (2θ from 10° to 90°), most intense first:
- d 2.427, I 100, (5 -2 1)
- d 2.113, I 65, (2 3 2)
- d 2.482, I 38, (0 0 3)
- d 3.677, I 26, (2 1 1)
- d 1.507, I 19, (5 -2 4)
- d 1.272, I 19, (7 1 3)
- d 2.794, I 18, (3 -2 2)
- d 1.482, I 17, (7 1 0)
- d 4.472, I 16, (0 2 1)
- d 3.729, I 12, (3 0 0)

Structure and theoretical PXRD pattern of Pr4Y2Ho2Tm (a cell relaxed with PBE; Cu Ka).
Kinematic intensities with the Lorentz-polarization factor, no thermal factor.

Structural model:
```
data_Pr4Y2Ho2Tm
_chemical_formula_sum 'Pr8 Y4 Ho4 Tm2'
_symmetry_space_group_name_H-M 'C 1 2/m 1'
_symmetry_Int_Tables_number 12
_symmetry_space_group_name_Hall '-C 2y'
_cell_length_a 15.3710
_cell_length_b 5.1136
_cell_length_c 8.0838
_cell_angle_alpha 90.00
_cell_angle_beta 108.49
_cell_angle_gamma 90.00
loop_
_atom_site_label
_atom_site_type_symbol
_atom_site_fract_x
_atom_site_fract_y
_atom_site_fract_z
Pr1 Pr 0.0538 0.0000 0.3317
Pr2 Pr 0.2228 0.5000 0.3332
Y1 Y 0.1665 0.0000 0.9996
Ho1 Ho 0.1110 0.5000 0.6697
Tm1 Tm 0.0000 0.5000 0.0000
```

The 10 most intense peaks (2θ from 10° to 90°), most intense first:
- d 2.954, I 100, (3 1 1)
- d 2.558, I 50, (0 2 0)
- d 1.809, I 36, (6 0 2)
- d 1.543, I 28, (3 3 1)
- d 1.541, I 14, (3 1 4)
- d 1.477, I 12, (6 2 2)
- d 1.174, I 12, (9 3 0)
- d 1.143, I 11, (0 4 3)
- d 1.173, I 6, (3 3 4)
- d 1.145, I 5, (12 0 1)

Structure and theoretical PXRD pattern of ZnCd4Hg7 (a cell relaxed with PBE; Cu Ka).
Kinematic intensities with the Lorentz-polarization factor, no thermal factor.

Structural model:
```
data_ZnCd4Hg7
_chemical_formula_sum 'Zn2 Cd8 Hg14'
_symmetry_space_group_name_H-M 'C 1 m 1'
_symmetry_Int_Tables_number 8
_symmetry_space_group_name_Hall 'C -2y'
_cell_length_a 12.1986
_cell_length_b 3.7507
_cell_length_c 13.0804
_cell_angle_alpha 90.00
_cell_angle_beta 93.35
_cell_angle_gamma 90.00
loop_
_atom_site_label
_atom_site_type_symbol
_atom_site_fract_x
_atom_site_fract_y
_atom_site_fract_z
Zn1 Zn 0.0000 0.0000 0.0000
Cd1 Cd 0.0604 0.5000 0.6001
Cd2 Cd 0.1820 0.0000 0.4438
Cd3 Cd 0.3030 0.5000 0.2893
Cd4 Cd 0.3490 0.0000 0.8895
Hg1 Hg 0.0030 0.5000 0.3500
Hg2 Hg 0.0087 0.0000 0.7764
Hg3 Hg 0.1253 0.0000 0.1833
Hg4 Hg 0.1701 0.5000 0.9552
Hg5 Hg 0.2535 0.0000 0.6832
Hg6 Hg 0.3741 0.5000 0.5235
Hg7 Hg 0.3815 0.0000 0.1224
```

The 10 most intense peaks (2θ from 10° to 90°), most intense first:
- d 2.717, I 100, (3 1 -1)
- d 2.393, I 42, (1 1 4)
- d 2.744, I 27, (1 1 3)
- d 2.453, I 23, (2 0 -5)
- d 2.430, I 22, (4 0 3)
- d 1.875, I 22, (0 2 0)
- d 2.699, I 14, (4 0 2)
- d 2.809, I 12, (2 0 4)
- d 3.120, I 12, (1 1 2)
- d 2.950, I 12, (2 0 -4)